Entry 1:
This entry pairs a crystal structure of H6PbCI3N with its simulated X-ray diffraction stick pattern. Radiation: copper Kα. Structure: a structure optimized by DFT (PBE).

Most intense lines, 10 to 80 degrees two-theta, low angle first:
hkl, Position (°2θ), I (rel.)
0 2 0, 13.50, 83.5
1 0 1, 14.21, 100.0
1 2 2, 26.60, 37.1
0 4 0, 27.18, 71.1
2 0 2, 28.64, 53.5
1 4 1, 30.79, 40.0
3 0 1, 31.59, 47.7
1 0 3, 32.61, 27.9
1 2 3, 35.44, 46.4
2 4 2, 39.90, 42.1
3 4 1, 42.15, 46.4
1 4 3, 42.97, 32.4

Structure:
```
H6PbCI3N
1.0
8.991 0.000 0.000
0.000 13.123 0.000
0.000 0.000 8.650
H Pb C I N
24 4 4 12 4
direct
0.022 0.250 0.140
0.059 0.750 0.196
0.110 0.186 0.996
0.110 0.314 0.996
0.155 0.681 0.047
0.155 0.819 0.047
0.345 0.181 0.547
0.345 0.319 0.547
0.390 0.686 0.496
0.390 0.814 0.496
0.441 0.250 0.696
0.478 0.750 0.640
0.522 0.250 0.360
0.559 0.750 0.304
0.610 0.186 0.504
0.610 0.314 0.504
0.655 0.681 0.453
0.655 0.819 0.453
0.845 0.181 0.953
0.845 0.319 0.953
0.890 0.686 0.004
0.890 0.814 0.004
0.941 0.250 0.804
0.978 0.750 0.860
0.000 0.000 0.500
0.000 0.500 0.500
0.500 0.000 0.000
0.500 0.500 0.000
0.092 0.750 0.074
0.408 0.250 0.574
0.592 0.750 0.426
0.908 0.250 0.926
0.027 0.750 0.569
0.179 0.018 0.826
0.179 0.482 0.826
0.321 0.518 0.326
0.321 0.982 0.326
0.473 0.250 0.069
0.527 0.750 0.931
0.679 0.018 0.674
0.679 0.482 0.674
0.821 0.518 0.174
0.821 0.982 0.174
0.973 0.250 0.431
0.046 0.250 0.021
0.454 0.750 0.521
0.546 0.250 0.479
0.954 0.750 0.979
```

Entry 2:
This entry pairs a crystal structure of Zr3N with its simulated X-ray diffraction stick pattern. Radiation: copper Kα. Structure: a structure optimized by DFT (PBE).

Most intense lines, 10 to 80 degrees two-theta, low angle first:
hkl, Position (°2θ), I (rel.)
1 0 0, 21.55, 23.5
1 1 0, 30.66, 19.5
1 1 1, 37.79, 100.0
2 0 0, 43.91, 48.3
2 1 0, 49.42, 10.6
2 1 1, 54.51, 7.9
2 2 0, 63.85, 30.1
3 0 0, 68.23, 5.1
3 1 0, 72.49, 3.4
3 1 1, 76.64, 34.6

Structure:
```
Zr3N
1.0
4.124 0.000 0.000
0.000 4.124 0.000
0.000 0.000 4.124
Zr N
3 1
direct
0.000 0.000 0.500
0.000 0.500 0.000
0.500 0.000 0.000
0.500 0.500 0.500
```